Entry 1:
PmHoGa2Ir2: theoretical X-ray diffraction stick pattern (Cu Kα), based on DFT lattice parameters and positions (GGA-PBE).
Intensities are scaled so that the largest is 100.

```
PmHoGa2Ir2
1.0
4.4118 0.0000 0.0000
-2.2059 3.8207 0.0000
0.0000 0.0000 7.1879
Pm Ho Ga Ir
1 1 2 2
Cartesian
0.0000 0.0000 0.0000
0.0000 0.0000 3.5939
0.0000 2.5472 1.9300
2.2059 1.2736 5.2579
0.0000 2.5472 5.2644
2.2059 1.2736 1.9235
```

Peak list (10 most intense, 2θ = 5–70°, low angle first)
Position (°2θ)	Rel. int.
24.77	4.8
26.42	23.7
34.25	100.0
40.91	66.6
44.64	7.0
48.42	4.8
49.36	4.6
50.81	10.4
54.39	26.9
67.19	27.0

Entry 2:
HoGa4Ir2Pt: theoretical X-ray diffraction stick pattern (Cu Kα), based on DFT lattice parameters and positions (GGA-PBE).
Intensities are scaled so that the largest is 100.

```
HoGa4Ir2Pt
1.0
2.1356 1.2330 8.6531
-2.1356 1.2330 8.6531
0.0000 -2.4659 8.6531
Ho Ga Ir Pt
1 4 2 1
Cartesian
0.0000 0.0000 0.0000
0.0000 0.0000 3.3692
0.0000 0.0000 10.3264
0.0000 0.0000 15.6330
0.0000 0.0000 22.5902
0.0000 0.0000 6.5441
0.0000 0.0000 19.4153
0.0000 0.0000 12.9797
```

Peak list (10 most intense, 2θ = 5–70°, low angle first)
Position (°2θ)	Rel. int.
10.22	4.4
27.76	50.8
36.85	100.0
41.75	10.2
42.32	82.2
51.37	9.8
57.34	27.9
60.96	20.4
62.51	14.3
68.68	8.5

Entry 3:
La2Ho3Ga4: theoretical X-ray diffraction stick pattern (Cu Kα), based on DFT lattice parameters and positions (GGA-PBE).
Intensities are scaled so that the largest is 100.

```
La2Ho3Ga4
1.0
8.0488 0.0000 0.0000
0.0000 8.0506 0.0000
-2.2425 0.0000 7.3531
La Ho Ga
4 6 8
Cartesian
1.3741 1.4371 0.5499
0.2528 2.5882 4.2265
5.5535 5.4624 3.1267
4.4322 6.6135 6.8032
1.3971 5.4382 1.8438
0.2758 6.6377 5.5204
2.9031 0.0000 3.6766
4.0244 4.0253 0.0000
5.5305 1.4129 1.8327
4.4092 2.6124 5.5093
-1.3129 4.2902 6.4047
-0.1916 7.7857 2.7281
2.0325 0.9434 6.4495
3.1538 3.0819 2.7729
2.6525 4.9687 4.5802
3.7738 7.1072 0.9036
5.9979 0.2649 4.6250
7.1192 3.7604 0.9484
```

Peak list (10 most intense, 2θ = 5–70°, low angle first)
Position (°2θ)	Rel. int.
30.40	18.7
31.89	100.0
32.18	41.1
32.53	18.6
34.96	17.3
35.61	29.0
36.38	21.7
36.82	38.1
53.41	20.4
54.54	18.0